No. 1
Theoretical XRD peak list of Na5B9C for Cu Ka, from a DFT-relaxed cell (PBE, Alexandria).

Top 10 peaks for 5° ≤ 2θ ≤ 70°, low angle first:
2theta  intensity
20.31  3
32.93  16
36.08  16
39.00  50
41.29  37
41.75  100
53.79  8
55.97  9
60.86  19
66.82  7

Crystal structure
```
data_Na5B9C
_space_group_name_H-M_alt 'C m c m'
_space_group_IT_number 63
_space_group_name_Hall '-C 2c 2'
_cell_length_a 2.800
_cell_length_b 27.200
_cell_length_c 8.746
_cell_angle_alpha 90.00
_cell_angle_beta 90.00
_cell_angle_gamma 90.00
loop_
_atom_site_label
_atom_site_fract_x
_atom_site_fract_y
_atom_site_fract_z
_atom_site_occupancy
Na1 0.000 0.000 0.000 1
Na2 0.000 0.200 0.000 1
Na3 0.000 0.400 0.001 1
B1 0.000 0.069 0.750 1
B2 0.000 0.075 0.250 1
B3 0.000 0.130 0.750 1
B4 0.000 0.267 0.250 1
B5 0.000 0.274 0.750 1
B6 0.000 0.329 0.250 1
B7 0.000 0.338 0.750 1
B8 0.000 0.466 0.750 1
B9 0.000 0.473 0.250 1
C1 0.000 0.132 0.250 1
```

No. 2
Theoretical XRD peak list of Na5B8C2 for Cu Ka, from a DFT-relaxed cell (PBE, Alexandria).

Top 10 peaks for 5° ≤ 2θ ≤ 70°, low angle first:
2theta  intensity
6.68  3
33.88  14
36.16  16
39.93  49
41.73  38
41.93  100
54.79  7
56.38  9
62.11  18
66.47  8

Crystal structure
```
data_Na5B8C2
_space_group_name_H-M_alt 'A m m 2'
_space_group_IT_number 38
_cell_length_a 8.659
_cell_length_b 2.813
_cell_length_c 26.460
_cell_angle_alpha 90.00
_cell_angle_beta 90.00
_cell_angle_gamma 90.00
loop_
_space_group_symop_operation_xyz
'x,y,z'
'-x,-y,z'
'-x,y,z'
'x,-y,z'
'x,y+1/2,z+1/2'
'-x,-y+1/2,z+1/2'
'-x,y+1/2,z+1/2'
'x,-y+1/2,z+1/2'
loop_
_atom_site_label
_atom_site_fract_x
_atom_site_fract_y
_atom_site_fract_z
_atom_site_occupancy
Na1 0.247 0.000 0.000 1
Na2 0.249 0.000 0.602 1
Na3 0.251 0.000 0.401 1
Na4 0.251 0.000 0.802 1
Na5 0.252 0.000 0.203 1
B1 0.000 0.000 0.074 1
B2 0.000 0.000 0.138 1
B3 0.000 0.000 0.269 1
B4 0.000 0.000 0.467 1
B5 0.000 0.000 0.531 1
B6 0.000 0.000 0.679 1
B7 0.000 0.000 0.860 1
B8 0.000 0.000 0.927 1
B9 0.500 0.000 0.069 1
B10 0.500 0.000 0.132 1
B11 0.500 0.000 0.331 1
B12 0.500 0.000 0.526 1
B13 0.500 0.000 0.674 1
B14 0.500 0.000 0.740 1
B15 0.500 0.000 0.871 1
B16 0.500 0.000 0.936 1
C1 0.000 0.000 0.330 1
C2 0.000 0.000 0.738 1
C3 0.500 0.000 0.271 1
C4 0.500 0.000 0.468 1
```

No. 3
Theoretical XRD peak list of Na10B17C3 for Cu Ka, from a DFT-relaxed cell (PBE, Alexandria).

Top 10 peaks for 5° ≤ 2θ ≤ 70°, low angle first:
2theta  intensity
34.69  21
35.09  19
35.36  18
40.64  99
40.99  100
41.22  100
41.72  73
62.26  18
62.79  17
63.56  17

Crystal structure
```
data_Na10B17C3
_space_group_name_H-M_alt 'P 1'
_space_group_IT_number 1
_cell_length_a 5.077
_cell_length_b 7.846
_cell_length_c 9.143
_cell_angle_alpha 75.98
_cell_angle_beta 74.04
_cell_angle_gamma 71.85
loop_
_space_group_symop_operation_xyz
'x,y,z'
loop_
_atom_site_label
_atom_site_fract_x
_atom_site_fract_y
_atom_site_fract_z
_atom_site_occupancy
Na1 0.000 0.000 0.000 1
Na2 0.001 0.499 0.498 1
Na3 0.196 0.600 0.000 1
Na4 0.201 0.101 0.499 1
Na5 0.395 0.701 0.501 1
Na6 0.401 0.199 0.002 1
Na7 0.597 0.800 0.998 1
Na8 0.603 0.300 0.497 1
Na9 0.797 0.899 0.501 1
Na10 0.802 0.398 0.003 1
B1 0.017 0.849 0.750 1
B2 0.024 0.356 0.251 1
B3 0.162 0.251 0.750 1
B4 0.238 0.453 0.749 1
B5 0.249 0.938 0.250 1
B6 0.359 0.855 0.750 1
B7 0.376 0.344 0.250 1
B8 0.405 0.570 0.250 1
B9 0.438 0.047 0.750 1
B10 0.592 0.431 0.750 1
B11 0.618 0.653 0.750 1
B12 0.632 0.136 0.250 1
B13 0.760 0.551 0.251 1
B14 0.771 0.068 0.750 1
B15 0.832 0.763 0.250 1
B16 0.967 0.642 0.749 1
B17 0.977 0.144 0.250 1
C1 0.159 0.753 0.250 1
C2 0.568 0.945 0.249 1
C3 0.842 0.250 0.751 1
```

No. 4
Theoretical XRD peak list of Na4B7C for Cu Ka, from a DFT-relaxed cell (PBE, Alexandria).

Top 10 peaks for 5° ≤ 2θ ≤ 70°, low angle first:
2theta  intensity
32.71  16
36.63  16
38.79  52
41.22  39
42.22  100
53.59  8
56.31  10
60.96  19
64.95  3
68.37  7

Crystal structure
```
data_Na4B7C
_space_group_name_H-M_alt 'P m m a'
_space_group_IT_number 51
_cell_length_a 8.760
_cell_length_b 2.744
_cell_length_c 10.951
_cell_angle_alpha 90.00
_cell_angle_beta 90.00
_cell_angle_gamma 90.00
loop_
_space_group_symop_operation_xyz
'x,y,z'
'-x,-y,-z'
'-x+1/2,-y,z'
'x+1/2,y,-z'
'x+1/2,-y,-z'
'-x+1/2,y,z'
'-x,y,-z'
'x,-y,z'
loop_
_atom_site_label
_atom_site_fract_x
_atom_site_fract_y
_atom_site_fract_z
_atom_site_occupancy
Na1 0.000 0.000 0.000 1
Na2 0.000 0.000 0.500 1
Na3 0.001 0.500 0.248 1
B1 0.250 0.000 0.168 1
B2 0.250 0.000 0.325 1
B3 0.250 0.000 0.688 1
B4 0.250 0.500 0.065 1
B5 0.250 0.500 0.429 1
B6 0.250 0.500 0.585 1
B7 0.250 0.500 0.905 1
C1 0.250 0.000 0.830 1
```